Computed XRD peak list
Compound: LiCrNiRu
Radiation: Cu Kα, 1.54184 Å
Structure: a cell relaxed with PBE

Most intense lines, 2θ from 5° to 70°, low angle first:
2θ/deg  intensity
26.88  20.5
31.14  32.1
44.61  100.0
52.85  8.6
55.40  8.3
64.93  15.3

Crystal structure
Cell: 4.0624 4.0624 4.0624 Å, 60.00 60.00 60.00°
Fractional positions:
Li  0.0000  0.0000  0.0000
Cr  0.5000  0.5000  0.5000
Ni  0.2500  0.2500  0.2500
Ru  0.7500  0.7500  0.7500